Diffraction record for Pm2RuC2N6. The XRD peak list is calculated, not measured: it uses a cell relaxed with GGA-PBE and CuKα.

Main lines, sorted by position (2θ = 10–90°):
- 4.275 Å, 20.78 deg, intensity 21, hkl 1 0 1
- 3.867 Å, 23.00 deg, intensity 16, hkl 0 1 2
- 2.941 Å, 30.39 deg, intensity 36, hkl 1 0 4
- 2.565 Å, 34.99 deg, intensity 100, hkl 1 1 0
- 2.138 Å, 42.28 deg, intensity 11, hkl 2 0 2
- 1.933 Å, 47.00 deg, intensity 20, hkl 0 2 4
- 1.813 Å, 50.31 deg, intensity 16, hkl 2 0 5
- 1.544 Å, 59.91 deg, intensity 11, hkl 2 1 4
- 1.481 Å, 62.75 deg, intensity 28, hkl 3 0 0
- 1.442 Å, 64.62 deg, intensity 17, hkl 1 1 9
- 1.283 Å, 73.89 deg, intensity 9, hkl 2 2 0
- 1.147 Å, 84.46 deg, intensity 10, hkl 3 1 5

Structural model:
```
data_Pm2RuC2N6
_chemical_formula_sum 'Pm6 Ru3 C6 N18'
_symmetry_space_group_name_H-M 'R -3 m'
_symmetry_Int_Tables_number 166
_symmetry_space_group_name_Hall '-R 3 2"'
_cell_length_a 5.1306
_cell_length_b 5.1306
_cell_length_c 15.6972
_cell_angle_alpha 90.00
_cell_angle_beta 90.00
_cell_angle_gamma 120.00
loop_
_atom_site_label
_atom_site_fract_x
_atom_site_fract_y
_atom_site_fract_z
Pm1 0.0000 0.0000 0.2188
Ru1 0.0000 0.0000 0.0000
C1 0.0000 0.0000 0.4115
N1 0.0270 0.5135 0.2500
```



Diffraction record for Sr2PmC2N6. The XRD peak list is calculated, not measured: it uses a cell relaxed with GGA-PBE and CuKα.

Main lines, sorted by position (2θ = 10–90°):
- 5.437 Å, 16.30 deg, intensity 20, hkl 0 0 1
- 3.729 Å, 23.86 deg, intensity 100, hkl 0 1 1
- 2.958 Å, 30.21 deg, intensity 89, hkl 1 1 0
- 2.599 Å, 34.51 deg, intensity 15, hkl 1 1 1
- 2.401 Å, 37.45 deg, intensity 59, hkl 1 0 2
- 2.318 Å, 38.86 deg, intensity 49, hkl 2 0 1
- 1.864 Å, 48.85 deg, intensity 31, hkl 0 2 2
- 1.824 Å, 49.99 deg, intensity 37, hkl 3 -2 1
- 1.708 Å, 53.65 deg, intensity 21, hkl 3 0 0
- 1.577 Å, 58.52 deg, intensity 22, hkl 2 1 2
- 1.479 Å, 62.82 deg, intensity 20, hkl 2 2 0
- 1.259 Å, 75.48 deg, intensity 15, hkl 4 -3 2

Structural model:
```
data_Sr2PmC2N6
_chemical_formula_sum 'Sr2 Pm1 C2 N6'
_symmetry_space_group_name_H-M 'P -3'
_symmetry_Int_Tables_number 147
_cell_length_a 5.9169
_cell_length_b 5.9169
_cell_length_c 5.4369
_cell_angle_alpha 90.00
_cell_angle_beta 90.00
_cell_angle_gamma 120.00
loop_
_symmetry_equiv_pos_as_xyz
'x,y,z'
'-x,-y,-z'
'-y,x-y,z'
'y,-x+y,-z'
'-x+y,-x,z'
'x-y,x,-z'
loop_
_atom_site_label
_atom_site_fract_x
_atom_site_fract_y
_atom_site_fract_z
Sr1 0.3333 0.6667 0.2819
Pm1 0.0000 0.0000 0.0000
C1 0.3333 0.6667 0.7747
N1 0.1948 0.4055 0.7724
```



Diffraction record for PrCN3. The XRD peak list is calculated, not measured: it uses a cell relaxed with GGA-PBE and CuKα.

Main lines, sorted by position (2θ = 10–90°):
- 4.080 Å, 21.79 deg, intensity 100, hkl 0 1 1
- 4.031 Å, 22.05 deg, intensity 17, hkl 1 0 0
- 3.842 Å, 23.15 deg, intensity 19, hkl 1 0 -1
- 3.218 Å, 27.72 deg, intensity 95, hkl 1 1 0
- 3.158 Å, 28.26 deg, intensity 46, hkl 0 0 2
- 3.120 Å, 28.61 deg, intensity 38, hkl 1 1 -1
- 2.719 Å, 32.94 deg, intensity 18, hkl 0 1 2
- 2.671 Å, 33.55 deg, intensity 33, hkl 0 2 0
- 2.065 Å, 43.85 deg, intensity 33, hkl 1 1 2
- 2.018 Å, 44.93 deg, intensity 26, hkl 1 2 1
- 1.946 Å, 46.68 deg, intensity 24, hkl 1 2 -2
- 1.941 Å, 46.81 deg, intensity 24, hkl 1 1 -3

Structural model:
```
data_PrCN3
_chemical_formula_sum 'Pr2 C2 N6'
_symmetry_space_group_name_H-M 'P 1 21/m 1'
_symmetry_Int_Tables_number 11
_cell_length_a 4.1524
_cell_length_b 5.3437
_cell_length_c 6.5070
_cell_angle_alpha 90.00
_cell_angle_beta 103.91
_cell_angle_gamma 90.00
loop_
_symmetry_equiv_pos_as_xyz
'x,y,z'
'-x,-y,-z'
'-x,y+1/2,-z'
'x,-y+1/2,z'
loop_
_atom_site_label
_atom_site_fract_x
_atom_site_fract_y
_atom_site_fract_z
Pr1 0.1607 0.2500 0.2904
C1 0.2854 0.2500 0.7574
N1 0.1212 0.2500 0.9088
N2 0.3469 0.0292 0.6779
```



Diffraction record for Pr2C3N6. The XRD peak list is calculated, not measured: it uses a cell relaxed with GGA-PBE and CuKα.

Main lines, sorted by position (2θ = 10–90°):
- 5.332 Å, 16.63 deg, intensity 100, hkl 0 0 1
- 4.119 Å, 21.57 deg, intensity 27, hkl 2 0 1
- 3.894 Å, 22.84 deg, intensity 79, hkl 1 1 0
- 3.741 Å, 23.79 deg, intensity 67, hkl 4 0 0
- 3.247 Å, 27.47 deg, intensity 45, hkl 4 0 -1
- 3.192 Å, 27.96 deg, intensity 100, hkl 1 1 -1
- 2.795 Å, 32.02 deg, intensity 37, hkl 3 1 -1
- 2.620 Å, 34.23 deg, intensity 68, hkl 3 1 1
- 2.273 Å, 39.65 deg, intensity 30, hkl 5 1 -1
- 2.232 Å, 40.41 deg, intensity 43, hkl 1 1 -2
- 1.961 Å, 46.30 deg, intensity 28, hkl 3 1 2
- 1.888 Å, 48.21 deg, intensity 38, hkl 7 1 0

Structural model:
```
data_Pr2C3N6
_chemical_formula_sum 'Pr4 C6 N12'
_symmetry_space_group_name_H-M 'C 1 2/m 1'
_symmetry_Int_Tables_number 12
_cell_length_a 15.0675
_cell_length_b 4.0327
_cell_length_c 5.3696
_cell_angle_alpha 90.00
_cell_angle_beta 96.76
_cell_angle_gamma 90.00
loop_
_symmetry_equiv_pos_as_xyz
'x,y,z'
'-x,-y,-z'
'-x,y,-z'
'x,-y,z'
'x+1/2,y+1/2,z'
'-x+1/2,-y+1/2,-z'
'-x+1/2,y+1/2,-z'
'x+1/2,-y+1/2,z'
loop_
_atom_site_label
_atom_site_fract_x
_atom_site_fract_y
_atom_site_fract_z
Pr1 0.1349 0.0000 0.0722
C1 0.0000 0.0000 0.5000
C2 0.1719 0.5000 0.5938
N1 0.0098 0.0000 0.7313
N2 0.1576 0.5000 0.3652
N3 0.1891 0.5000 0.8272
```



Diffraction record for PrC6N8. The XRD peak list is calculated, not measured: it uses a cell relaxed with GGA-PBE and CuKα.

Main lines, sorted by position (2θ = 10–90°):
- 5.385 Å, 16.46 deg, intensity 100, hkl 1 0 1
- 4.277 Å, 20.77 deg, intensity 70, hkl 0 1 2
- 4.065 Å, 21.86 deg, intensity 44, hkl 0 0 3
- 3.465 Å, 25.71 deg, intensity 34, hkl 1 1 0
- 2.718 Å, 32.95 deg, intensity 28, hkl 1 0 4
- 2.692 Å, 33.28 deg, intensity 23, hkl 2 0 2
- 2.637 Å, 34.00 deg, intensity 42, hkl 1 1 3
- 2.260 Å, 39.90 deg, intensity 18, hkl 0 1 5
- 2.230 Å, 40.45 deg, intensity 33, hkl 3 -1 1
- 2.139 Å, 42.26 deg, intensity 20, hkl 0 2 4
- 2.126 Å, 42.52 deg, intensity 26, hkl 3 -2 2
- 2.001 Å, 45.33 deg, intensity 20, hkl 3 0 0

Structural model:
```
data_PrC6N8
_chemical_formula_sum 'Pr3 C18 N24'
_symmetry_space_group_name_H-M 'R 3'
_symmetry_Int_Tables_number 146
_symmetry_space_group_name_Hall 'R 3'
_cell_length_a 6.9301
_cell_length_b 6.9301
_cell_length_c 12.1955
_cell_angle_alpha 90.00
_cell_angle_beta 90.00
_cell_angle_gamma 120.00
loop_
_atom_site_label
_atom_site_fract_x
_atom_site_fract_y
_atom_site_fract_z
Pr1 0.0000 0.0000 0.0000
C1 0.0960 0.5529 0.4374
C2 0.2128 0.7811 0.1013
N1 0.0000 0.0000 0.4417
N2 0.0000 0.0000 0.7761
N3 0.0010 0.2902 0.1167
N4 0.0006 0.6579 0.0637
```



Diffraction record for Pr2Tc2C2N. The XRD peak list is calculated, not measured: it uses a cell relaxed with GGA-PBE and CuKα.

Main lines, sorted by position (2θ = 10–90°):
- 3.364 Å, 26.50 deg, intensity 28, hkl 2 0 -2
- 3.226 Å, 27.65 deg, intensity 40, hkl 1 1 0
- 3.066 Å, 29.13 deg, intensity 38, hkl 1 1 -1
- 2.854 Å, 31.35 deg, intensity 92, hkl 2 0 1
- 2.644 Å, 33.90 deg, intensity 50, hkl 4 0 -2
- 2.583 Å, 34.73 deg, intensity 28, hkl 1 1 1
- 2.521 Å, 35.61 deg, intensity 86, hkl 3 1 -1
- 2.352 Å, 38.27 deg, intensity 100, hkl 1 1 -2
- 2.291 Å, 39.33 deg, intensity 32, hkl 3 1 0
- 2.208 Å, 40.87 deg, intensity 30, hkl 2 0 -3
- 1.722 Å, 53.18 deg, intensity 27, hkl 0 2 0
- 1.491 Å, 62.27 deg, intensity 28, hkl 1 1 3

Structural model:
```
data_Pr2Tc2C2N
_chemical_formula_sum 'Pr4 Tc4 C4 N2'
_symmetry_space_group_name_H-M 'C 1 2/m 1'
_symmetry_Int_Tables_number 12
_cell_length_a 11.1018
_cell_length_b 3.4446
_cell_length_c 6.7381
_cell_angle_alpha 90.00
_cell_angle_beta 124.01
_cell_angle_gamma 90.00
loop_
_symmetry_equiv_pos_as_xyz
'x,y,z'
'-x,-y,-z'
'-x,y,-z'
'x,-y,z'
'x+1/2,y+1/2,z'
'-x+1/2,-y+1/2,-z'
'-x+1/2,y+1/2,-z'
'x+1/2,-y+1/2,z'
loop_
_atom_site_label
_atom_site_fract_x
_atom_site_fract_y
_atom_site_fract_z
Pr1 0.0658 0.0000 0.3349
Tc1 0.2034 0.5000 0.0956
C1 0.1843 0.5000 0.7435
N1 0.0000 0.5000 0.0000
```



Diffraction record for PtC2N2. The XRD peak list is calculated, not measured: it uses a cell relaxed with GGA-PBE and CuKα.

Main lines, sorted by position (2θ = 10–90°):
- 3.965 Å, 22.42 deg, intensity 100, hkl 1 1 2
- 3.496 Å, 25.48 deg, intensity 46, hkl 2 0 0
- 3.318 Å, 26.87 deg, intensity 15, hkl 0 0 4
- 3.044 Å, 29.34 deg, intensity 11, hkl 2 1 1
- 2.472 Å, 36.34 deg, intensity 12, hkl 2 2 0
- 2.407 Å, 37.37 deg, intensity 25, hkl 2 0 4
- 2.098 Å, 43.12 deg, intensity 34, hkl 3 1 2
- 2.019 Å, 44.89 deg, intensity 21, hkl 1 1 6
- 1.982 Å, 45.77 deg, intensity 13, hkl 2 2 4
- 1.564 Å, 59.07 deg, intensity 20, hkl 3 1 6
- 1.414 Å, 66.06 deg, intensity 8, hkl 4 2 4
- 1.138 Å, 85.30 deg, intensity 9, hkl 3 1 10

Structural model:
```
data_PtC2N2
_chemical_formula_sum 'Pt8 C16 N16'
_symmetry_space_group_name_H-M 'I -4 2 d'
_symmetry_Int_Tables_number 122
_symmetry_space_group_name_Hall 'I -4 2bw'
_cell_length_a 6.9923
_cell_length_b 6.9923
_cell_length_c 13.2709
_cell_angle_alpha 90.00
_cell_angle_beta 90.00
_cell_angle_gamma 90.00
loop_
_atom_site_label
_atom_site_fract_x
_atom_site_fract_y
_atom_site_fract_z
Pt1 0.2180 0.2500 0.1250
C1 0.0171 0.2479 0.3251
N1 0.1437 0.2127 0.2697
```



Diffraction record for Rb2PtC4N4. The XRD peak list is calculated, not measured: it uses a cell relaxed with GGA-PBE and CuKα.

Main lines, sorted by position (2θ = 10–90°):
- 7.987 Å, 11.08 deg, intensity 55, hkl 0 1 1
- 5.697 Å, 15.55 deg, intensity 36, hkl 0 0 2
- 5.599 Å, 15.83 deg, intensity 38, hkl 0 2 0
- 4.221 Å, 21.05 deg, intensity 19, hkl 1 2 1
- 3.993 Å, 22.26 deg, intensity 61, hkl 0 2 2
- 3.496 Å, 25.48 deg, intensity 100, hkl 2 1 1
- 3.212 Å, 27.78 deg, intensity 22, hkl 2 0 2
- 2.848 Å, 31.40 deg, intensity 28, hkl 0 0 4
- 2.800 Å, 31.97 deg, intensity 31, hkl 0 4 0
- 2.640 Å, 33.95 deg, intensity 37, hkl 2 1 3
- 2.621 Å, 34.22 deg, intensity 43, hkl 2 3 1
- 2.197 Å, 41.09 deg, intensity 23, hkl 2 3 3

Structural model:
```
data_Rb2PtC4N4
_chemical_formula_sum 'Rb8 Pt4 C16 N16'
_symmetry_space_group_name_H-M 'I m m a'
_symmetry_Int_Tables_number 74
_symmetry_space_group_name_Hall '-I 2b 2'
_cell_length_a 7.7765
_cell_length_b 11.1984
_cell_length_c 11.3939
_cell_angle_alpha 90.00
_cell_angle_beta 90.00
_cell_angle_gamma 90.00
loop_
_atom_site_label
_atom_site_fract_x
_atom_site_fract_y
_atom_site_fract_z
Rb1 0.0000 0.0000 0.0000
Rb2 0.0000 0.2500 0.2869
Pt1 0.2500 0.2500 0.7500
C1 0.2353 0.2500 0.9243
C2 0.2500 0.0721 0.7500
N1 0.2190 0.2500 0.0270
N2 0.2500 0.0328 0.2500
```



Diffraction record for PtCSeN2. The XRD peak list is calculated, not measured: it uses a cell relaxed with GGA-PBE and CuKα.

Main lines, sorted by position (2θ = 10–90°):
- 8.469 Å, 10.45 deg, intensity 76, hkl 0 0 1
- 4.235 Å, 20.98 deg, intensity 100, hkl 0 0 2
- 3.650 Å, 24.39 deg, intensity 94, hkl 1 0 0
- 3.352 Å, 26.59 deg, intensity 34, hkl 1 0 1
- 2.765 Å, 32.38 deg, intensity 92, hkl 1 0 2
- 2.581 Å, 34.76 deg, intensity 36, hkl 1 1 0
- 2.204 Å, 40.95 deg, intensity 47, hkl 1 1 2
- 1.831 Å, 49.79 deg, intensity 28, hkl 1 0 4
- 1.676 Å, 54.77 deg, intensity 28, hkl 2 0 2
- 1.637 Å, 56.19 deg, intensity 19, hkl 1 1 4
- 1.632 Å, 56.36 deg, intensity 20, hkl 2 1 0
- 1.523 Å, 60.81 deg, intensity 31, hkl 2 1 2

Structural model:
```
data_PtCSeN2
_chemical_formula_sum 'Pt1 C1 Se1 N2'
_symmetry_space_group_name_H-M 'P 4/m m m'
_symmetry_Int_Tables_number 123
_symmetry_space_group_name_Hall '-P 4 2'
_cell_length_a 3.6502
_cell_length_b 3.6502
_cell_length_c 8.4690
_cell_angle_alpha 90.00
_cell_angle_beta 90.00
_cell_angle_gamma 90.00
loop_
_atom_site_label
_atom_site_fract_x
_atom_site_fract_y
_atom_site_fract_z
Pt1 0.0000 0.0000 0.0000
C1 0.5000 0.5000 0.5000
Se1 0.0000 0.0000 0.5000
N1 0.0000 0.5000 0.0000
```



Diffraction record for ZnPtC4N4. The XRD peak list is calculated, not measured: it uses a cell relaxed with GGA-PBE and CuKα.

Main lines, sorted by position (2θ = 10–90°):
- 5.468 Å, 16.21 deg, intensity 17, hkl 1 0 0
- 4.232 Å, 20.99 deg, intensity 100, hkl 1 0 2
- 3.867 Å, 23.00 deg, intensity 40, hkl 1 1 0
- 3.345 Å, 26.65 deg, intensity 17, hkl 0 0 4
- 2.529 Å, 35.50 deg, intensity 29, hkl 1 1 4
- 2.297 Å, 39.23 deg, intensity 34, hkl 2 1 2
- 2.116 Å, 42.73 deg, intensity 20, hkl 2 0 4
- 2.063 Å, 43.88 deg, intensity 11, hkl 1 0 6
- 1.933 Å, 47.02 deg, intensity 10, hkl 2 2 0
- 1.647 Å, 55.82 deg, intensity 15, hkl 2 1 6
- 1.535 Å, 60.28 deg, intensity 17, hkl 3 1 4
- 1.479 Å, 62.83 deg, intensity 10, hkl 3 2 2

Structural model:
```
data_ZnPtC4N4
_chemical_formula_sum 'Zn2 Pt2 C8 N8'
_symmetry_space_group_name_H-M 'P 42/m c m'
_symmetry_Int_Tables_number 132
_symmetry_space_group_name_Hall '-P 4c 2c'
_cell_length_a 5.4681
_cell_length_b 5.4681
_cell_length_c 13.3692
_cell_angle_alpha 90.00
_cell_angle_beta 90.00
_cell_angle_gamma 90.00
loop_
_atom_site_label
_atom_site_fract_x
_atom_site_fract_y
_atom_site_fract_z
Zn1 0.0000 0.0000 0.2500
Pt1 0.5000 0.5000 0.0000
C1 0.3162 0.3162 0.1035
N1 0.2046 0.2046 0.1623
```



Diffraction record for Rb3CN. The XRD peak list is calculated, not measured: it uses a cell relaxed with GGA-PBE and CuKα.

Main lines, sorted by position (2θ = 10–90°):
- 5.646 Å, 15.69 deg, intensity 34, hkl 1 0 0
- 3.993 Å, 22.27 deg, intensity 13, hkl 1 1 0
- 3.260 Å, 27.36 deg, intensity 100, hkl 1 1 1
- 2.823 Å, 31.69 deg, intensity 63, hkl 2 0 0
- 2.525 Å, 35.55 deg, intensity 18, hkl 2 1 0
- 1.996 Å, 45.43 deg, intensity 44, hkl 2 2 0
- 1.882 Å, 48.36 deg, intensity 9, hkl 3 0 0
- 1.702 Å, 53.85 deg, intensity 44, hkl 3 1 1
- 1.630 Å, 56.45 deg, intensity 15, hkl 2 2 2
- 1.295 Å, 73.04 deg, intensity 18, hkl 3 3 1
- 1.263 Å, 75.26 deg, intensity 19, hkl 4 2 0
- 1.153 Å, 83.96 deg, intensity 14, hkl 4 2 2

Structural model:
```
data_Rb3CN
_chemical_formula_sum 'Rb3 C1 N1'
_symmetry_space_group_name_H-M 'P m -3 m'
_symmetry_Int_Tables_number 221
_symmetry_space_group_name_Hall '-P 4 2 3'
_cell_length_a 5.6464
_cell_length_b 5.6464
_cell_length_c 5.6464
_cell_angle_alpha 90.00
_cell_angle_beta 90.00
_cell_angle_gamma 90.00
loop_
_atom_site_label
_atom_site_fract_x
_atom_site_fract_y
_atom_site_fract_z
Rb1 0.0000 0.0000 0.5000
C1 0.5000 0.5000 0.5000
N1 0.0000 0.0000 0.0000
```



Diffraction record for RuC8N6. The XRD peak list is calculated, not measured: it uses a cell relaxed with GGA-PBE and CuKα.

Main lines, sorted by position (2θ = 10–90°):
- 6.383 Å, 13.87 deg, intensity 84, hkl 1 0 0
- 5.731 Å, 15.46 deg, intensity 41, hkl 0 0 1
- 4.264 Å, 20.83 deg, intensity 100, hkl 1 0 1
- 3.685 Å, 24.15 deg, intensity 22, hkl 1 1 0
- 3.100 Å, 28.80 deg, intensity 22, hkl 1 1 1
- 2.788 Å, 32.10 deg, intensity 20, hkl 2 0 1
- 2.614 Å, 34.30 deg, intensity 16, hkl 1 0 2
- 2.413 Å, 37.27 deg, intensity 13, hkl 2 1 0
- 2.224 Å, 40.57 deg, intensity 22, hkl 2 1 1
- 2.132 Å, 42.40 deg, intensity 22, hkl 2 0 2
- 1.844 Å, 49.41 deg, intensity 16, hkl 2 2 0
- 1.692 Å, 54.23 deg, intensity 8, hkl 3 1 1

Structural model:
```
data_RuC8N6
_chemical_formula_sum 'Ru1 C8 N6'
_symmetry_space_group_name_H-M 'P -3 m 1'
_symmetry_Int_Tables_number 164
_symmetry_space_group_name_Hall '-P 3 2"'
_cell_length_a 7.3708
_cell_length_b 7.3708
_cell_length_c 5.7308
_cell_angle_alpha 90.00
_cell_angle_beta 90.00
_cell_angle_gamma 120.00
loop_
_atom_site_label
_atom_site_fract_x
_atom_site_fract_y
_atom_site_fract_z
Ru1 0.0000 0.0000 0.0000
C1 0.2241 0.4482 0.7766
C2 0.3333 0.6667 0.7497
N1 0.1336 0.2673 0.8118
```